Record 1
Diffraction record for Cs8KCl2. The XRD peak list is theoretical, not measured: it uses a cell relaxed with PBE and CuKα.

Structural model:
```
11
Lattice="9.3136 -5.1468 0.0000 9.3136 5.1468 0.0000 -5.4602 0.0000 11.5309" Properties=species:S:1:pos:R:3 pbc="T T T"
Cs -1.2974 0.0000 7.7644
Cs 3.1591 2.5790 8.5612
Cs 5.3436 0.0000 1.1445
Cs 10.0080 2.5790 2.9697
Cs 3.1591 -2.5790 8.5612
Cs 7.8234 0.0000 10.3864
Cs 10.0080 -2.5790 2.9697
Cs 14.4644 0.0000 3.7665
K 6.5835 0.0000 5.7655
Cl 1.3959 0.0000 9.7198
Cl 11.7711 0.0000 1.8112
```

Top 8 peaks for 2θ = 15–90°, most intense first:
two_theta	I_rel
20.0	100.0
15.4	46.0
23.1	34.5
20.1	33.4
20.2	29.1
35.7	25.3
23.2	24.8
22.1	24.7



Record 2
Diffraction record for Ba2TaTl. The XRD peak list is theoretical, not measured: it uses a cell relaxed with PBE and CuKα.

Structural model:
```
4
Lattice="3.6349 0.0000 0.0000 0.0000 5.2750 0.0000 -1.8105 0.0000 7.1751" Properties=species:S:1:pos:R:3 pbc="T T T"
Ba 0.0000 0.0000 0.0000
Ba -0.0037 2.6375 4.4871
Ta 1.8188 2.6375 1.4868
Tl 1.8153 0.0000 2.9716
```

Top 8 peaks for 2θ = 15–90°, most intense first:
two_theta	I_rel
30.1	100.0
30.5	74.1
30.9	68.6
35.4	57.1
34.0	49.4
46.6	44.0
59.7	29.2
41.5	28.4



Record 3
Diffraction record for Li6PmCd12. The XRD peak list is theoretical, not measured: it uses a cell relaxed with PBE and CuKα.

Structural model:
```
19
Lattice="6.1866 3.5718 3.0373 -6.1866 3.5718 3.0373 0.0000 -7.1436 3.0373" Properties=species:S:1:pos:R:3 pbc="T T T"
Li 0.0000 -3.1405 3.7959
Li -2.7197 1.5702 3.7959
Li -2.7197 -1.5702 5.3161
Li 2.7197 1.5702 3.7959
Li 2.7197 -1.5702 5.3161
Li 0.0000 3.1405 5.3161
Pm 0.0000 0.0000 0.0000
Cd -2.3641 -4.0947 4.5560
Cd -4.7281 0.0000 4.5560
Cd -1.5433 -0.8910 2.9243
Cd 1.5433 -0.8910 2.9243
Cd 0.0000 1.7821 2.9243
Cd 2.3641 -4.0947 4.5560
Cd -2.3641 4.0947 4.5560
Cd 0.0000 -1.7821 6.1877
Cd -1.5433 0.8910 6.1877
Cd 1.5433 0.8910 6.1877
Cd 4.7281 0.0000 4.5560
Cd 2.3641 4.0947 4.5560
```

Top 8 peaks for 2θ = 15–90°, most intense first:
two_theta	I_rel
31.7	100.0
32.8	52.5
46.8	33.4
38.9	28.5
25.7	22.9
24.9	19.3
59.5	15.2
21.2	14.9



Record 4
Diffraction record for S2O5F2. The XRD peak list is theoretical, not measured: it uses a cell relaxed with PBE and CuKα.

Structural model:
```
36
Lattice="7.8308 0.0000 0.0000 0.0000 7.8308 0.0000 0.0000 0.0000 9.8131" Properties=species:S:1:pos:R:3 pbc="T T T"
S 0.6064 2.5979 3.5839
S 1.3175 3.3090 8.4905
S 2.5979 7.2244 6.2292
S 3.3090 6.5133 1.3227
S 4.5218 1.3175 1.3227
S 5.2329 0.6064 6.2292
S 6.5133 4.5218 8.4905
S 7.2244 5.2329 3.5839
O 0.0000 3.9154 2.8015
O 0.0000 3.9154 7.7081
O 0.1434 5.4976 4.7589
O 0.8597 1.6705 2.5445
O 1.5822 4.0588 9.6655
O 1.6705 6.9711 7.2687
O 2.2449 3.0557 7.4510
O 2.3332 0.1434 5.0542
O 3.0557 5.5859 2.3621
O 3.7720 1.5822 0.1476
O 3.9154 0.0000 2.1050
O 3.9154 0.0000 7.0116
O 4.0588 6.2486 0.1476
O 4.7751 2.2449 2.3621
O 5.4976 7.6874 5.0542
O 5.5859 4.7751 7.4510
O 6.1603 0.8597 7.2687
O 6.2486 3.7720 9.6655
O 6.9711 6.1603 2.5445
O 7.6874 2.3332 4.7589
F 0.6993 1.9324 8.9343
F 1.9324 7.1315 0.8788
F 1.9830 3.2161 4.0277
F 3.2161 5.8478 5.7854
F 4.6147 1.9830 5.7854
F 5.8478 4.6147 4.0277
F 5.8984 0.6993 0.8788
F 7.1315 5.8984 8.9343
```

Top 8 peaks for 2θ = 15–90°, most intense first:
two_theta	I_rel
21.4	100.0
16.0	47.5
25.4	44.5
24.2	30.8
27.0	16.4
24.5	14.4
35.6	13.3
37.3	13.2



Record 5
Diffraction record for SrVFeP2. The XRD peak list is theoretical, not measured: it uses a cell relaxed with PBE and CuKα.

Structural model:
```
10
Lattice="3.8172 0.0000 0.0000 0.0000 3.8172 0.0000 0.0000 0.0000 12.3599" Properties=species:S:1:pos:R:3 pbc="T T T"
Sr 0.0000 0.0000 0.0000
Sr 1.9086 1.9086 6.1799
V 0.0000 1.9086 9.2699
V 1.9086 0.0000 3.0900
Fe 0.0000 1.9086 3.0900
Fe 1.9086 0.0000 9.2699
P 0.0000 0.0000 4.4416
P 0.0000 0.0000 7.9182
P 1.9086 1.9086 1.7383
P 1.9086 1.9086 10.6216
```

Top 8 peaks for 2θ = 15–90°, most intense first:
two_theta	I_rel
36.3	100.0
32.0	84.4
47.6	42.7
56.2	40.9
58.5	28.0
28.9	26.5
43.6	19.3
24.4	18.9